For TlCr2F8, a crystal structure in Alexandria, relaxed with PBE+U gives the computed powder diffraction line list in this record (Cu Kα (weighted mean of Kα1 and Kα2)).
Lines closer than 0.1° are merged.

```
data_TlCr2F8
_chemical_formula_sum 'Tl1 Cr2 F8'
_symmetry_space_group_name_H-M 'P -1'
_symmetry_Int_Tables_number 2
_cell_length_a 3.9251
_cell_length_b 5.8616
_cell_length_c 7.9487
_cell_angle_alpha 68.74
_cell_angle_beta 89.06
_cell_angle_gamma 71.15
loop_
_symmetry_equiv_pos_as_xyz
'x,y,z'
'-x,-y,-z'
loop_
_atom_site_label
_atom_site_type_symbol
_atom_site_fract_x
_atom_site_fract_y
_atom_site_fract_z
Tl1 Tl 0.0000 0.0000 0.0000
Cr1 Cr 0.3885 0.2248 0.3184
F1 F 0.1047 0.7884 0.6927
F2 F 0.2095 0.5911 0.2428
F3 F 0.4011 0.2038 0.0779
F4 F 0.4204 0.1613 0.5766
```

Principal peaks in the range 2θ from 10° to 90°, sorted by position:
| (hkl) | 2θ (°) | intensity |
| --- | --- | --- |
| 0 0 1 | 12.0 | 81 |
| 0 1 0 | 17.3 | 100 |
| 0 1 2 | 23.8 | 74 |
| 0 1 -1 | 24.6 | 75 |
| 1 1 1 | 25.6 | 75 |
| 1 0 -1 | 25.7 | 73 |
| 1 2 2 | 36.4 | 42 |
| 0 0 3 | 36.6 | 34 |
| 2 1 0 | 46.3 | 32 |
| 2 0 1 | 52.5 | 27 |